For Rb2LiAuF6, a DFT-relaxed cell (PBE, the Materials Project) gives the calculated X-ray diffraction stick pattern in this record (Cu Ka).
Neutral-atom scattering factors, no anomalous dispersion.

Structure:
```
data_Rb2LiAuF6
_chemical_formula_sum 'Rb8 Li4 Au4 F24'
_cell_length_a 8.5898
_cell_length_b 8.5898
_cell_length_c 8.5898
_cell_angle_alpha 90.00
_cell_angle_beta 90.00
_cell_angle_gamma 90.00
_space_group_name_H-M_alt 'F m -3 m'
_space_group_IT_number 225
_space_group_name_Hall '-F 4 2 3'
loop_
_atom_site_label
_atom_site_fract_x
_atom_site_fract_y
_atom_site_fract_z
_atom_site_occupancy
Rb1 0.2500 0.2500 0.2500 1
Li1 0.0000 0.0000 0.0000 1
Au1 0.0000 0.0000 0.5000 1
F1 0.0000 0.0000 0.2482 1
```

Largest 8 diffraction maxima, low angle first, 2θ from 15° to 90°:
d = 4.959 Å, 2θ = 17.9°, intensity 69, hkl 1 1 1; d = 3.037 Å, 2θ = 29.4°, intensity 100, hkl 2 2 0; d = 2.590 Å, 2θ = 34.6°, intensity 43, hkl 3 1 1; d = 2.147 Å, 2θ = 42.1°, intensity 40, hkl 4 0 0; d = 1.971 Å, 2θ = 46.1°, intensity 20, hkl 3 3 1; d = 1.753 Å, 2θ = 52.2°, intensity 42, hkl 4 2 2; d = 1.518 Å, 2θ = 61.0°, intensity 25, hkl 4 4 0; d = 1.148 Å, 2θ = 84.4°, intensity 23, hkl 6 4 2

For MnGeTe2, a DFT-relaxed cell (PBE, the Materials Project) gives the calculated X-ray diffraction stick pattern in this record (Cu Ka).
Neutral-atom scattering factors, no anomalous dispersion.

Structure:
```
data_MnGeTe2
_chemical_formula_sum 'Mn3 Ge3 Te6'
_cell_length_a 4.0012
_cell_length_b 4.0012
_cell_length_c 19.5446
_cell_angle_alpha 90.00
_cell_angle_beta 90.00
_cell_angle_gamma 120.00
_space_group_name_H-M_alt 'R -3 m'
_space_group_IT_number 166
_space_group_name_Hall '-R 3 2"'
loop_
_atom_site_label
_atom_site_fract_x
_atom_site_fract_y
_atom_site_fract_z
_atom_site_occupancy
Mn1 0.0000 0.0000 0.0000 1
Ge1 0.0000 0.0000 0.5000 1
Te1 0.0000 0.0000 0.2632 1
```

Largest 8 diffraction maxima, low angle first, 2θ from 15° to 90°:
d = 3.265 Å, 2θ = 27.3°, intensity 16, hkl 0 1 2; d = 2.827 Å, 2θ = 31.7°, intensity 100, hkl 1 0 4; d = 2.173 Å, 2θ = 41.6°, intensity 9, hkl 0 0 9; d = 1.999 Å, 2θ = 45.4°, intensity 68, hkl 1 1 0; d = 1.633 Å, 2θ = 56.3°, intensity 19, hkl 0 2 4; d = 1.413 Å, 2θ = 66.1°, intensity 9, hkl 2 0 8; d = 1.265 Å, 2θ = 75.1°, intensity 16, hkl 2 1 4; d = 1.155 Å, 2θ = 83.8°, intensity 16, hkl 3 0 0

For Ba2ErInTe5, a DFT-relaxed cell (PBE, the Materials Project) gives the calculated X-ray diffraction stick pattern in this record (Cu Ka).
Neutral-atom scattering factors, no anomalous dispersion.

Structure:
```
data_Ba2ErInTe5
_chemical_formula_sum 'Ba8 Er4 In4 Te20'
_cell_length_a 4.5716
_cell_length_b 20.4575
_cell_length_c 14.3608
_cell_angle_alpha 90.00
_cell_angle_beta 90.00
_cell_angle_gamma 90.00
_space_group_name_H-M_alt 'C m c 21'
_space_group_IT_number 36
loop_
_space_group_symop_operation_xyz
'x,y,z'
'-x,-y,z+1/2'
'-x,y,z'
'x,-y,z+1/2'
'x+1/2,y+1/2,z'
'-x+1/2,-y+1/2,z+1/2'
'-x+1/2,y+1/2,z'
'x+1/2,-y+1/2,z+1/2'
loop_
_atom_site_label
_atom_site_fract_x
_atom_site_fract_y
_atom_site_fract_z
_atom_site_occupancy
Ba1 0.0000 0.1194 0.0000 1
Ba2 0.0000 0.1309 0.3668 1
Er1 0.0000 0.2097 0.6635 1
In1 0.0000 0.4436 0.2479 1
Te1 0.0000 0.0508 0.6306 1
Te2 0.0000 0.2920 0.0228 1
Te3 0.0000 0.3098 0.3145 1
Te4 0.0000 0.3549 0.6809 1
Te5 0.0000 0.4959 0.9197 1
```

Largest 8 diffraction maxima, low angle first, 2θ from 15° to 90°:
d = 3.790 Å, 2θ = 23.5°, intensity 15, hkl 1 1 2; d = 3.317 Å, 2θ = 26.9°, intensity 56, hkl 0 6 1; d = 3.264 Å, 2θ = 27.3°, intensity 100, hkl 1 1 3; d = 2.806 Å, 2θ = 31.9°, intensity 36, hkl 1 5 2; d = 2.330 Å, 2θ = 38.6°, intensity 23, hkl 0 2 6; d = 2.286 Å, 2θ = 39.4°, intensity 32, hkl 2 0 0; d = 2.031 Å, 2θ = 44.6°, intensity 25, hkl 1 7 4; d = 1.882 Å, 2θ = 48.4°, intensity 25, hkl 2 6 1

For CsEuAsS3, a DFT-relaxed cell (PBE, the Materials Project) gives the calculated X-ray diffraction stick pattern in this record (Cu Ka).
Neutral-atom scattering factors, no anomalous dispersion.

Structure:
```
data_CsEuAsS3
_chemical_formula_sum 'Cs4 Eu4 As4 S12'
_cell_length_a 9.6295
_cell_length_b 8.4710
_cell_length_c 8.9331
_cell_angle_alpha 90.00
_cell_angle_beta 104.27
_cell_angle_gamma 90.00
_space_group_name_H-M_alt 'P 1 21/c 1'
_space_group_IT_number 14
loop_
_space_group_symop_operation_xyz
'x,y,z'
'-x,-y,-z'
'-x,y+1/2,-z+1/2'
'x,-y+1/2,z+1/2'
loop_
_atom_site_label
_atom_site_fract_x
_atom_site_fract_y
_atom_site_fract_z
_atom_site_occupancy
Cs1 0.0935 0.0729 0.2268 1
Eu1 0.4360 0.7169 0.4692 1
As1 0.2858 0.0473 0.6546 1
S1 0.1857 0.6908 0.0839 1
S2 0.2676 0.0822 0.9009 1
S3 0.4746 0.0169 0.2851 1
```

Largest 8 diffraction maxima, low angle first, 2θ from 15° to 90°:
d = 4.087 Å, 2θ = 21.7°, intensity 35, hkl 2 1 0; d = 4.049 Å, 2θ = 22.0°, intensity 66, hkl 2 1 -1; d = 3.857 Å, 2θ = 23.1°, intensity 41, hkl 1 2 0; d = 3.603 Å, 2θ = 24.7°, intensity 55, hkl 1 0 2; d = 3.030 Å, 2θ = 29.5°, intensity 100, hkl 0 2 2; d = 2.804 Å, 2θ = 31.9°, intensity 73, hkl 1 1 -3; d = 2.732 Å, 2θ = 32.8°, intensity 33, hkl 3 1 -2; d = 2.701 Å, 2θ = 33.2°, intensity 50, hkl 1 3 0

For CeSnPd, a DFT-relaxed cell (PBE, the Materials Project) gives the calculated X-ray diffraction stick pattern in this record (Cu Ka).
Neutral-atom scattering factors, no anomalous dispersion.

Structure:
```
data_CeSnPd
_chemical_formula_sum 'Ce4 Sn4 Pd4'
_cell_length_a 7.4609
_cell_length_b 4.7279
_cell_length_c 7.9992
_cell_angle_alpha 90.00
_cell_angle_beta 90.00
_cell_angle_gamma 90.00
_space_group_name_H-M_alt 'P n m a'
_space_group_IT_number 62
loop_
_space_group_symop_operation_xyz
'x,y,z'
'-x,-y,-z'
'-x+1/2,-y,z+1/2'
'x+1/2,y,-z+1/2'
'x+1/2,-y+1/2,-z+1/2'
'-x+1/2,y+1/2,z+1/2'
'-x,y+1/2,-z'
'x,-y+1/2,z'
loop_
_atom_site_label
_atom_site_fract_x
_atom_site_fract_y
_atom_site_fract_z
_atom_site_occupancy
Ce1 0.0127 0.2500 0.2052 1
Sn1 0.1892 0.2500 0.5882 1
Pd1 0.2068 0.7500 0.4173 1
```

Largest 8 diffraction maxima, low angle first, 2θ from 15° to 90°:
d = 2.826 Å, 2θ = 31.7°, intensity 42, hkl 1 1 2; d = 2.750 Å, 2θ = 32.6°, intensity 100, hkl 2 1 1; d = 2.728 Å, 2θ = 32.8°, intensity 40, hkl 2 0 2; d = 2.375 Å, 2θ = 37.9°, intensity 26, hkl 3 0 1; d = 2.364 Å, 2θ = 38.1°, intensity 44, hkl 0 2 0; d = 2.323 Å, 2θ = 38.8°, intensity 64, hkl 0 1 3; d = 1.787 Å, 2θ = 51.1°, intensity 25, hkl 2 2 2; d = 1.480 Å, 2θ = 62.8°, intensity 24, hkl 3 1 4

For AgI, a DFT-relaxed cell (PBE, the Materials Project) gives the calculated X-ray diffraction stick pattern in this record (Cu Ka).
Neutral-atom scattering factors, no anomalous dispersion.

Structure:
```
data_AgI
_chemical_formula_sum 'Ag1 I1'
_cell_length_a 3.8550
_cell_length_b 3.8550
_cell_length_c 3.8550
_cell_angle_alpha 90.00
_cell_angle_beta 90.00
_cell_angle_gamma 90.00
_space_group_name_H-M_alt 'P m -3 m'
_space_group_IT_number 221
_space_group_name_Hall '-P 4 2 3'
loop_
_atom_site_label
_atom_site_fract_x
_atom_site_fract_y
_atom_site_fract_z
_atom_site_occupancy
Ag1 0.0000 0.0000 0.0000 1
I1 0.5000 0.5000 0.5000 1
```

Largest 6 diffraction maxima, low angle first, 2θ from 15° to 90°:
d = 2.726 Å, 2θ = 32.9°, intensity 100, hkl 1 1 0; d = 1.927 Å, 2θ = 47.2°, intensity 18, hkl 2 0 0; d = 1.574 Å, 2θ = 58.7°, intensity 36, hkl 2 1 1; d = 1.363 Å, 2θ = 68.9°, intensity 11, hkl 2 2 0; d = 1.219 Å, 2θ = 78.5°, intensity 15, hkl 3 1 0; d = 1.113 Å, 2θ = 87.7°, intensity 4, hkl 2 2 2

For MgTl3, a DFT-relaxed cell (PBE, the Materials Project) gives the calculated X-ray diffraction stick pattern in this record (Cu Ka).
Neutral-atom scattering factors, no anomalous dispersion.

Structure:
```
data_MgTl3
_chemical_formula_sum 'Mg4 Tl12'
_cell_length_a 7.7171
_cell_length_b 7.7171
_cell_length_c 7.7171
_cell_angle_alpha 90.00
_cell_angle_beta 90.00
_cell_angle_gamma 90.00
_space_group_name_H-M_alt 'F m -3 m'
_space_group_IT_number 225
_space_group_name_Hall '-F 4 2 3'
loop_
_atom_site_label
_atom_site_fract_x
_atom_site_fract_y
_atom_site_fract_z
_atom_site_occupancy
Mg1 0.0000 0.0000 0.0000 1
Tl1 0.0000 0.0000 0.5000 1
Tl2 0.2500 0.2500 0.2500 1
```

Largest 8 diffraction maxima, low angle first, 2θ from 15° to 90°:
d = 4.455 Å, 2θ = 19.9°, intensity 17, hkl 1 1 1; d = 3.859 Å, 2θ = 23.1°, intensity 9, hkl 2 0 0; d = 2.728 Å, 2θ = 32.8°, intensity 100, hkl 2 2 0; d = 2.327 Å, 2θ = 38.7°, intensity 10, hkl 3 1 1; d = 1.929 Å, 2θ = 47.1°, intensity 19, hkl 4 0 0; d = 1.575 Å, 2θ = 58.6°, intensity 39, hkl 4 2 2; d = 1.364 Å, 2θ = 68.8°, intensity 12, hkl 4 4 0; d = 1.220 Å, 2θ = 78.4°, intensity 17, hkl 6 2 0

For SnH7C3NO5F, a DFT-relaxed cell (PBE, the Materials Project) gives the calculated X-ray diffraction stick pattern in this record (Cu Ka).
Neutral-atom scattering factors, no anomalous dispersion.

Structure:
```
data_SnH7C3NO5F
_chemical_formula_sum 'Sn2 H14 C6 N2 O10 F2'
_cell_length_a 6.2082
_cell_length_b 7.9131
_cell_length_c 8.1839
_cell_angle_alpha 101.73
_cell_angle_beta 94.35
_cell_angle_gamma 103.16
_space_group_name_H-M_alt 'P -1'
_space_group_IT_number 2
loop_
_space_group_symop_operation_xyz
'x,y,z'
'-x,-y,-z'
loop_
_atom_site_label
_atom_site_fract_x
_atom_site_fract_y
_atom_site_fract_z
_atom_site_occupancy
Sn1 0.2222 0.4752 0.1748 1
H1 0.0378 0.2023 0.5655 1
H2 0.1285 0.9640 0.3473 1
H3 0.1498 0.8523 0.0712 1
H4 0.2128 0.9270 0.6928 1
H5 0.2188 0.1332 0.8108 1
H6 0.3591 0.1117 0.6377 1
H7 0.3724 0.9447 0.0281 1
C1 0.0147 0.0661 0.5837 1
C2 0.3471 0.6375 0.7392 1
C3 0.4912 0.3012 0.3873 1
N1 0.2171 0.0588 0.6889 1
O1 0.1704 0.6895 0.7431 1
O2 0.2998 0.3385 0.3737 1
O3 0.3091 0.8996 0.1197 1
O4 0.4086 0.5383 0.8300 1
O5 0.4454 0.7759 0.5064 1
F1 0.1355 0.2287 0.9928 1
```

Largest 8 diffraction maxima, low angle first, 2θ from 15° to 90°:
d = 5.111 Å, 2θ = 17.3°, intensity 77, hkl 1 0 -1; d = 4.926 Å, 2θ = 18.0°, intensity 73, hkl 0 1 1; d = 4.361 Å, 2θ = 20.4°, intensity 46, hkl -1 1 1; d = 4.100 Å, 2θ = 21.7°, intensity 79, hkl 1 1 -1; d = 3.477 Å, 2θ = 25.6°, intensity 64, hkl 1 -2 1; d = 3.130 Å, 2θ = 28.5°, intensity 100, hkl 0 2 1; d = 2.694 Å, 2θ = 33.3°, intensity 49, hkl 0 1 -3; d = 2.556 Å, 2θ = 35.1°, intensity 41, hkl 2 0 -2